# CeScH
Theoretical PXRD pattern, Cu Kα, 1.54184 Å. Input: a structure optimized by DFT (PBE).

The 10 most intense peaks (2θ = 10–90°), in order of falling intensity:
| 2θ (°) | Rel. int. | hkl |
| --- | --- | --- |
| 34.62 | 100 | 0 1 2 |
| 14.12 | 100 | 1 0 0 |
| 34.95 | 83 | 2 1 -2 |
| 33.05 | 76 | 2 1 0 |
| 33.26 | 63 | 0 2 0 |
| 28.46 | 40 | 2 0 0 |
| 31.62 | 39 | 1 1 -2 |
| 44.33 | 23 | 2 2 0 |
| 36.30 | 23 | 1 2 0 |
| 60.31 | 21 | 0 3 2 |

Structure:
Cell: 7.0570 5.3870 6.6508 Å, 90.00 117.29 90.00°
Space group P2_1/c (No. 14)
Asymmetric unit:
Ce  0.0687  0.2435  0.4025 [4 per cell]
Sc  0.4268  0.7314  0.5958 [4 per cell]
H  0.4187  0.1451  0.0832 [4 per cell]

# Tb6SnBi5
Theoretical PXRD pattern, Cu Kα, 1.54184 Å. Input: a structure optimized by DFT (PBE).

The 10 most intense peaks (2θ = 10–90°), in order of falling intensity:
| 2θ (°) | Rel. int. | hkl |
| --- | --- | --- |
| 28.17 | 100 | 1 3 1 |
| 40.19 | 39 | 2 0 2 |
| 40.34 | 39 | 0 6 0 |
| 49.93 | 21 | 4 0 0 |
| 65.84 | 19 | 3 3 -5 |
| 66.04 | 18 | 5 3 -3 |
| 73.24 | 14 | 4 6 -4 |
| 58.26 | 13 | 4 0 -4 |
| 49.68 | 7 | 0 0 4 |
| 72.95 | 7 | 2 0 -6 |

Structure:
Cell: 7.7434 13.4196 7.7814 Å, 90.00 109.39 90.00°
Space group C2/m (No. 12)
Asymmetric unit:
Tb  0.2455  0.0000  0.2512 [4 per cell]
Tb  0.2463  0.1644  0.7463 [8 per cell]
Sn  0.0000  0.0000  0.5000 [2 per cell]
Bi  0.0000  0.1692  0.0000 [4 per cell]
Bi  0.0000  0.3340  0.5000 [4 per cell]
Bi  0.0000  0.5000  0.0000 [2 per cell]

# Sm4IrPd2
Theoretical PXRD pattern, Cu Kα, 1.54184 Å. Input: a structure optimized by DFT (PBE).

The 10 most intense peaks (2θ = 10–90°), in order of falling intensity:
| 2θ (°) | Rel. int. | hkl |
| --- | --- | --- |
| 31.90 | 100 | 1 3 1 |
| 31.62 | 58 | 3 1 -1 |
| 37.88 | 48 | 2 4 -2 |
| 37.71 | 23 | 3 3 -2 |
| 52.43 | 17 | 3 5 0 |
| 79.37 | 16 | 2 8 2 |
| 52.61 | 16 | 1 7 -1 |
| 64.78 | 15 | 1 7 -3 |
| 37.94 | 13 | 1 5 -1 |
| 50.33 | 13 | 2 6 0 |

Structure:
Cell: 8.9572 12.5403 7.7024 Å, 90.00 125.50 90.00°
Space group Cc (No. 9)
Asymmetric unit:
Sm  0.0000  0.0005  0.0000 [4 per cell]
Sm  0.1749  0.3077  0.1169 [4 per cell]
Sm  0.3647  0.2494  0.7306 [4 per cell]
Sm  0.4242  0.0576  0.1147 [4 per cell]
Ir  0.2408  0.1248  0.3656 [4 per cell]
Pd  0.0505  0.1903  0.7350 [4 per cell]
Pd  0.1817  0.4405  0.4963 [4 per cell]

# CuNi8Pd6
Theoretical PXRD pattern, Cu Kα, 1.54184 Å. Input: a structure optimized by DFT (PBE).

The 10 most intense peaks (2θ = 10–90°), in order of falling intensity:
| 2θ (°) | Rel. int. | hkl |
| --- | --- | --- |
| 41.96 | 100 | 1 2 1 |
| 48.00 | 45 | 0 0 3 |
| 42.22 | 33 | 1 2 -2 |
| 50.73 | 18 | 3 1 -1 |
| 72.63 | 12 | 3 1 -4 |
| 72.20 | 12 | 3 1 2 |
| 85.22 | 11 | -3 4 2 |
| 85.38 | 8 | -2 1 5 |
| 85.64 | 7 | 1 2 -5 |
| 70.13 | 7 | -1 3 3 |

Structure:
Cell: 5.7305 5.9540 5.9563 Å, 94.93 106.32 91.99°
Space group P-1 (No. 2)
Asymmetric unit:
Cu  0.0000  0.0000  0.0000 [1 per cell]
Ni  0.9998  0.3357  0.3360 [2 per cell]
Ni  0.3908  0.4754  0.6546 [2 per cell]
Ni  0.3928  0.1451  0.3234 [2 per cell]
Ni  0.3949  0.8085  0.9870 [2 per cell]
Pd  0.2153  0.4056  0.0011 [2 per cell]
Pd  0.2163  0.0707  0.6672 [2 per cell]
Pd  0.2170  0.7375  0.3348 [2 per cell]

# TaB4Ru
Theoretical PXRD pattern, Cu Kα, 1.54184 Å. Input: a structure optimized by DFT (PBE).

The 10 most intense peaks (2θ = 10–90°), in order of falling intensity:
| 2θ (°) | Rel. int. | hkl |
| --- | --- | --- |
| 26.66 | 100 | 0 0 1 |
| 41.65 | 84 | 2 1 1 |
| 31.40 | 71 | 2 1 0 |
| 41.88 | 71 | 0 4 1 |
| 31.71 | 70 | 0 4 0 |
| 47.73 | 58 | 2 3 1 |
| 38.84 | 46 | 2 3 0 |
| 54.91 | 21 | 0 0 2 |
| 78.70 | 21 | 4 4 1 |
| 39.15 | 20 | 1 3 1 |

Structure:
Cell: 5.8883 11.2896 3.3441 Å, 90.00 90.00 90.00°
Space group Pbam (No. 55)
Asymmetric unit:
Ta  0.1176  0.1337  0.0000 [4 per cell]
B  0.0300  0.6959  0.5000 [4 per cell]
B  0.1210  0.5496  0.5000 [4 per cell]
B  0.1284  0.9672  0.5000 [4 per cell]
B  0.1899  0.8147  0.5000 [4 per cell]
Ru  0.1342  0.3997  0.0000 [4 per cell]

# PtSe2Br
Theoretical PXRD pattern, Cu Kα, 1.54184 Å. Input: a structure optimized by DFT (PBE).

The 10 most intense peaks (2θ = 10–90°), in order of falling intensity:
| 2θ (°) | Rel. int. | hkl |
| --- | --- | --- |
| 29.80 | 100 | 0 1 2 |
| 34.19 | 53 | 2 0 0 |
| 36.22 | 41 | 0 1 3 |
| 45.90 | 40 | 2 1 -2 |
| 46.08 | 31 | 2 1 2 |
| 24.68 | 21 | 1 0 -2 |
| 60.44 | 20 | 2 2 0 |
| 47.20 | 20 | 1 1 -4 |
| 47.40 | 20 | 1 1 4 |
| 48.24 | 20 | 0 2 0 |

Structure:
Cell: 5.2455 3.7734 9.8723 Å, 90.00 90.39 90.00°
Space group P2_1/m (No. 11)
Asymmetric unit:
Pt  0.2484  0.2500  0.3884 [2 per cell]
Se  0.2460  0.7500  0.2173 [2 per cell]
Se  0.2508  0.7500  0.5584 [2 per cell]
Br  0.2548  0.2500  0.8412 [2 per cell]

# TbNdTh
Theoretical PXRD pattern, Cu Kα, 1.54184 Å. Input: a structure optimized by DFT (PBE).

The 10 most intense peaks (2θ = 10–90°), in order of falling intensity:
| 2θ (°) | Rel. int. | hkl |
| --- | --- | --- |
| 30.33 | 100 | 1 0 1 |
| 35.24 | 67 | 1 2 -1 |
| 30.58 | 33 | 0 2 -2 |
| 50.53 | 24 | 2 0 -1 |
| 60.10 | 19 | 2 2 0 |
| 50.89 | 16 | 0 4 -1 |
| 60.23 | 15 | 2 2 -3 |
| 60.52 | 14 | 1 4 -3 |
| 60.28 | 10 | -1 4 1 |
| 63.16 | 8 | 2 0 -4 |

Structure:
Cell: 3.6134 7.1768 8.0390 Å, 102.47 102.84 90.01°
Space group P-1 (No. 2)
Asymmetric unit:
Tb  0.1728  0.3322  0.3428 [2 per cell]
Nd  0.5000  0.0000  0.0000 [1 per cell]
Nd  0.5000  0.5000  0.0000 [1 per cell]
Th  0.1683  0.8383  0.3388 [2 per cell]

# AlTcH4
Theoretical PXRD pattern, Cu Kα, 1.54184 Å. Input: a structure optimized by DFT (PBE).

The 10 most intense peaks (2θ = 10–90°), in order of falling intensity:
| 2θ (°) | Rel. int. | hkl |
| --- | --- | --- |
| 16.64 | 100 | 2 0 0 |
| 21.89 | 41 | 1 1 0 |
| 39.90 | 25 | 1 1 2 |
| 39.63 | 25 | 1 1 -2 |
| 44.62 | 15 | 2 2 0 |
| 36.68 | 14 | 3 1 1 |
| 41.09 | 12 | 0 2 0 |
| 36.24 | 11 | 3 1 -1 |
| 37.28 | 11 | 4 0 -1 |
| 47.13 | 10 | 3 1 2 |

Structure:
Cell: 10.6544 4.3930 5.4647 Å, 90.00 91.06 90.00°
Space group C2 (No. 5)
Asymmetric unit:
Al  0.0000  0.0000  0.0000 [2 per cell]
Al  0.0000  0.0168  0.5000 [2 per cell]
Tc  0.0416  0.5112  0.7490 [4 per cell]
H  0.1076  0.3703  0.0152 [4 per cell]
H  0.1097  0.6418  0.4835 [4 per cell]
H  0.1511  0.7465  0.8618 [4 per cell]
H  0.1810  0.3717  0.7009 [4 per cell]

# Rb2Ba8LiSb6O2
Theoretical PXRD pattern, Cu Kα, 1.54184 Å. Input: a structure optimized by DFT (PBE).

The 10 most intense peaks (2θ = 10–90°), in order of falling intensity:
| 2θ (°) | Rel. int. | hkl |
| --- | --- | --- |
| 26.73 | 100 | -2 1 2 |
| 27.02 | 93 | 2 -1 1 |
| 26.39 | 73 | 1 2 0 |
| 30.59 | 67 | 1 3 -2 |
| 30.89 | 61 | 3 1 -2 |
| 27.65 | 58 | 1 2 -3 |
| 30.29 | 57 | 1 -3 1 |
| 27.55 | 57 | 2 1 -3 |
| 26.27 | 56 | -1 2 1 |
| 27.26 | 46 | 1 -2 2 |

Structure:
Cell: 9.1969 9.2996 10.3039 Å, 113.89 115.41 91.02°
Space group P1 (No. 1)
Asymmetric unit:
Rb  0.0000  0.0000  0.0000 [1 per cell]
Rb  0.4296  0.4217  0.9035 [1 per cell]
Ba  0.1808  0.9736  0.6797 [1 per cell]
Ba  0.2930  0.7936  0.2904 [1 per cell]
Ba  0.4843  0.3072  0.2899 [1 per cell]
Ba  0.5024  0.6858  0.6889 [1 per cell]
Ba  0.6907  0.1950  0.6892 [1 per cell]
Ba  0.8391  0.0560  0.3317 [1 per cell]
Ba  0.9824  0.5277  0.7103 [1 per cell]
Ba  0.9958  0.4903  0.3007 [1 per cell]
Li  0.6574  0.7077  0.1786 [1 per cell]
Sb  0.1119  0.3704  0.9932 [1 per cell]
Sb  0.2502  0.2372  0.4792 [1 per cell]
Sb  0.4051  0.8726  0.0140 [1 per cell]
Sb  0.6029  0.0996  0.9868 [1 per cell]
Sb  0.7416  0.7552  0.4892 [1 per cell]
Sb  0.8445  0.6331  0.0077 [1 per cell]
O  0.2420  0.7362  0.4933 [1 per cell]
O  0.7512  0.2789  0.5054 [1 per cell]

# Nd3Sm2Cd4
Theoretical PXRD pattern, Cu Kα, 1.54184 Å. Input: a structure optimized by DFT (PBE).

The 10 most intense peaks (2θ = 10–90°), in order of falling intensity:
| 2θ (°) | Rel. int. | hkl |
| --- | --- | --- |
| 34.11 | 100 | 2 0 2 |
| 28.56 | 61 | 1 5 1 |
| 35.20 | 57 | 0 6 2 |
| 59.59 | 47 | 2 6 4 |
| 29.83 | 43 | 2 2 1 |
| 36.61 | 41 | 1 7 1 |
| 33.80 | 29 | 0 2 3 |
| 38.36 | 25 | 2 6 0 |
| 28.77 | 24 | 1 3 2 |
| 68.00 | 23 | 2 12 2 |

Structure:
Cell: 6.8092 19.4330 8.2706 Å, 90.00 90.00 90.00°
Space group Cmce (No. 64)
Asymmetric unit:
Nd  0.0000  0.0000  0.0000 [4 per cell]
Nd  0.2500  0.2469  0.2500 [8 per cell]
Sm  0.0000  0.0900  0.5988 [8 per cell]
Cd  0.0000  0.1576  0.9840 [8 per cell]
Cd  0.2500  0.0782  0.2500 [8 per cell]

# Cs3BiO4
Theoretical PXRD pattern, Cu Kα, 1.54184 Å. Input: a structure optimized by DFT (PBE).

The 10 most intense peaks (2θ = 10–90°), in order of falling intensity:
| 2θ (°) | Rel. int. | hkl |
| --- | --- | --- |
| 25.69 | 100 | 0 2 2 |
| 26.17 | 87 | 2 0 2 |
| 26.74 | 80 | 2 2 0 |
| 45.23 | 39 | 2 2 4 |
| 46.31 | 32 | 2 4 2 |
| 35.78 | 24 | 0 0 4 |
| 47.16 | 22 | 4 2 2 |
| 37.51 | 21 | 0 4 0 |
| 15.96 | 16 | 1 1 1 |
| 52.81 | 14 | 0 4 4 |

Structure:
Cell: 9.2734 9.5908 10.0375 Å, 90.00 90.00 90.00°
Space group Pnma (No. 62)
Asymmetric unit:
Cs  0.0280  0.0165  0.2402 [8 per cell]
Cs  0.2098  0.7500  0.5004 [4 per cell]
Bi  0.2221  0.7500  0.9879 [4 per cell]
O  0.0143  0.7500  0.0569 [4 per cell]
O  0.1773  0.0708  0.5470 [8 per cell]
O  0.2173  0.7500  0.7833 [4 per cell]

# Rb3IrCl7
Theoretical PXRD pattern, Cu Kα, 1.54184 Å. Input: a structure optimized by DFT (PBE).

The 10 most intense peaks (2θ = 10–90°), in order of falling intensity:
| 2θ (°) | Rel. int. | hkl |
| --- | --- | --- |
| 21.92 | 100 | 2 0 1 |
| 12.55 | 77 | 1 1 0 |
| 25.26 | 60 | 2 2 0 |
| 32.63 | 58 | 2 1 2 |
| 36.26 | 45 | 2 2 2 |
| 48.48 | 35 | 4 2 2 |
| 25.59 | 31 | 0 0 2 |
| 38.32 | 30 | 3 3 0 |
| 17.79 | 30 | 2 0 0 |
| 17.90 | 29 | 1 1 1 |

Structure:
Cell: 9.9727 9.9727 6.9633 Å, 90.00 90.00 90.00°
Space group P4/mbm (No. 127)
Asymmetric unit:
Rb  0.0000  0.0000  0.0000 [2 per cell]
Rb  0.1771  0.3229  0.5000 [4 per cell]
Ir  0.0000  0.5000  0.0000 [2 per cell]
Cl  0.0000  0.0000  0.5000 [2 per cell]
Cl  0.1162  0.6162  0.2394 [8 per cell]
Cl  0.1666  0.3334  0.0000 [4 per cell]